This entry pairs a crystal structure of MnSnN2 with its calculated X-ray powder pattern. Radiation: a wavelength of 1.5418 Å. Structure: a cell relaxed with PBE.
Peak positions follow from Bragg's law for the DFT cell and can differ from measured ones.

Crystal structure
```
data_MnSnN2
_chemical_formula_sum 'Mn4 Sn4 N8'
_cell_length_a 5.7686
_cell_length_b 7.5443
_cell_length_c 5.0999
_cell_angle_alpha 90.00
_cell_angle_beta 90.00
_cell_angle_gamma 90.00
_space_group_name_H-M_alt 'P n a 21'
_space_group_IT_number 33
_space_group_name_Hall 'P 2c -2n'
loop_
_atom_site_label
_atom_site_type_symbol
_atom_site_fract_x
_atom_site_fract_y
_atom_site_fract_z
Mn1 Mn 0.0116 0.1246 0.0000
Sn1 Sn 0.0867 0.6275 0.0210
N1 N 0.0230 0.1001 0.3558
N2 N 0.2339 0.7459 0.4007
```

The 10 most intense peaks (2θ from 5° to 70°), in order of falling intensity:
- (1 2 1), 2θ = 33.38°, intensity 100
- (0 0 2), 2θ = 35.19°, intensity 28
- (2 0 1), 2θ = 35.76°, intensity 22
- (1 2 3), 2θ = 62.00°, intensity 20
- (2 0 0), 2θ = 31.00°, intensity 16
- (1 2 0), 2θ = 28.27°, intensity 16
- (1 1 1), 2θ = 26.14°, intensity 14
- (0 4 0), 2θ = 48.25°, intensity 12
- (2 1 0), 2θ = 33.25°, intensity 11
- (0 1 1), 2θ = 21.03°, intensity 11